# 1
This entry pairs a crystal structure of Pr2GaNi7 with its calculated powder XRD pattern. Radiation: Cu Kα (λ = 1.5418 Å). Structure: the PBE geometry in Alexandria.
Peak positions follow from Bragg's law for the DFT cell and can differ from measured ones.

Principal peaks in the range 2θ = 10–90°, low angle first:
two_theta	I/Imax
32.45	15
34.61	58
36.88	100
46.55	49
49.66	30
59.27	30
63.36	9
67.95	15
70.43	20
79.91	20

Crystal structure
```
Pr2GaNi7
1.0
3.9017 0.0000 0.0000
0.0000 3.9017 0.0000
0.0000 0.0000 10.4017
Pr Ga Ni
2 1 7
Direct
0.0000 0.5000 0.2357
0.5000 0.0000 0.7643
0.0000 0.0000 0.5000
0.0000 0.0000 0.0000
0.0000 0.5000 0.6384
0.0000 0.5000 0.8640
0.5000 0.0000 0.1360
0.5000 0.0000 0.3616
0.5000 0.5000 0.0000
0.5000 0.5000 0.5000
```

# 2
This entry pairs a crystal structure of VFe3Rh12 with its calculated powder XRD pattern. Radiation: Cu Kα (λ = 1.5418 Å). Structure: the PBE geometry in Alexandria.
Peak positions follow from Bragg's law for the DFT cell and can differ from measured ones.

Principal peaks in the range 2θ = 10–90°, low angle first:
two_theta	I/Imax
23.36	6
33.27	5
41.05	100
47.77	48
53.83	2
59.46	2
69.87	30
74.80	1
84.36	35
89.06	10

Crystal structure
```
VFe3Rh12
1.0
3.8093 0.0000 0.0000
0.0000 3.8093 0.0000
0.0000 0.0000 15.2212
V Fe Rh
1 3 12
Direct
0.0000 0.0000 0.0000
0.0000 0.0000 0.2509
0.0000 0.0000 0.5000
0.0000 0.0000 0.7491
0.0000 0.5000 0.1235
0.0000 0.5000 0.3748
0.0000 0.5000 0.6252
0.0000 0.5000 0.8765
0.5000 0.0000 0.1235
0.5000 0.0000 0.3748
0.5000 0.0000 0.6252
0.5000 0.0000 0.8765
0.5000 0.5000 0.0000
0.5000 0.5000 0.2494
0.5000 0.5000 0.5000
0.5000 0.5000 0.7506
```